No. 1
This entry pairs a crystal structure of CsMo3I3Cl4 with its theoretical powder diffractogram. Radiation: copper Kα. Structure: a PBE-relaxed structure.

Top 10 peaks for 2θ = 5–70°, by intensity:
2θ/deg, I/Imax
19.66, 100
10.92, 81
14.08, 81
26.64, 66
29.19, 51
39.93, 47
45.90, 40
9.64, 38
46.57, 34
35.66, 28

Structure:
Cell lengths 10.5969, 10.5969, 17.2648 Å; angles 90.00, 90.00, 120.00 degrees
Atoms (fractional coordinates):
Cs1 0.0000 0.0000 0.0000
Cs2 0.0000 0.0000 0.5000
Cs3 0.3333 0.6667 0.2524
Cs4 0.6667 0.3333 0.7524
Mo1 0.1883 0.6640 0.8150
Mo2 0.1894 0.5232 0.6909
Mo3 0.3339 0.8106 0.6909
Mo4 0.3360 0.5244 0.8150
Mo5 0.4756 0.8117 0.8150
Mo6 0.4768 0.6661 0.6909
Mo7 0.5232 0.1894 0.1909
Mo8 0.5244 0.3360 0.3150
Mo9 0.6640 0.1883 0.3150
Mo10 0.6661 0.4768 0.1909
Mo11 0.8106 0.3339 0.1909
Mo12 0.8117 0.4756 0.3150
I1 0.0413 0.3493 0.1021
I2 0.0437 0.6888 0.4039
I3 0.3080 0.9587 0.1021
I4 0.3112 0.3549 0.4039
I5 0.3493 0.0413 0.6021
I6 0.3549 0.3112 0.9039
I7 0.6451 0.9563 0.4039
I8 0.6507 0.6920 0.1021
I9 0.6888 0.0437 0.9039
I10 0.6920 0.6507 0.6021
I11 0.9563 0.6451 0.9039
I12 0.9587 0.3080 0.6021
Cl1 0.0635 0.6692 0.6931
Cl2 0.0656 0.3923 0.8128
Cl3 0.3267 0.9344 0.8128
Cl4 0.3308 0.3943 0.6931
Cl5 0.3333 0.6667 0.5769
Cl6 0.3333 0.6667 0.9291
Cl7 0.3923 0.0656 0.3128
Cl8 0.3943 0.3308 0.1931
Cl9 0.6057 0.9365 0.6931
Cl10 0.6077 0.6733 0.8128
Cl11 0.6667 0.3333 0.0769
Cl12 0.6667 0.3333 0.4291
Cl13 0.6692 0.0635 0.1931
Cl14 0.6733 0.6077 0.3128
Cl15 0.9344 0.3267 0.3128
Cl16 0.9365 0.6057 0.1931

No. 2
This entry pairs a crystal structure of CsNa2ICl4 with its theoretical powder diffractogram. Radiation: copper Kα. Structure: a PBE-relaxed structure.

Top 10 peaks for 2θ = 5–70°, by intensity:
2θ/deg, I/Imax
25.57, 100
26.63, 76
30.42, 73
22.25, 73
23.73, 64
37.25, 51
23.99, 46
11.80, 45
28.68, 42
40.88, 39

Structure:
Cell lengths 8.9069, 8.9069, 9.0437 Å; angles 114.87, 114.87, 97.47 degrees
Atoms (fractional coordinates):
Cs1 0.0000 0.0000 0.0000
Cs2 0.0000 0.0000 0.5000
Na1 0.0000 0.5000 0.0000
Na2 0.5000 0.0000 0.5000
Na3 0.5000 0.5000 0.0000
Na4 0.5000 0.5000 0.5000
I1 0.0000 0.5000 0.5000
I2 0.5000 0.0000 0.0000
Cl1 0.1980 0.6371 0.4112
Cl2 0.2200 0.3260 0.9832
Cl3 0.3260 0.2200 0.4832
Cl4 0.3629 0.8020 0.0888
Cl5 0.6371 0.1980 0.9112
Cl6 0.6740 0.7800 0.5168
Cl7 0.7800 0.6740 0.0168
Cl8 0.8020 0.3629 0.5888

No. 3
This entry pairs a crystal structure of Cs3Pb2I3Cl4 with its theoretical powder diffractogram. Radiation: copper Kα. Structure: a PBE-relaxed structure.

Top 10 peaks for 2θ = 5–70°, by intensity:
2θ/deg, I/Imax
21.27, 100
20.85, 88
28.05, 83
31.19, 63
35.47, 57
42.44, 53
15.72, 52
29.30, 51
11.61, 50
27.32, 50

Structure:
Cell lengths 15.8295, 15.8295, 15.8295 Å; angles 156.81, 31.40, 159.13 degrees
Atoms (fractional coordinates):
Cs1 0.0000 0.0000 0.0000
Cs2 0.1853 0.9988 0.1865
Cs3 0.8123 0.9988 0.8135
Pb1 0.3910 0.0020 0.3890
Pb2 0.6130 0.0020 0.6110
I1 0.4013 0.4993 0.9020
I2 0.5054 0.0054 0.5000
I3 0.5972 0.4993 0.0980
Cl1 0.1192 0.5017 0.6175
Cl2 0.3015 0.0037 0.2978
Cl3 0.7059 0.0037 0.7022
Cl4 0.8842 0.5017 0.3825

No. 4
This entry pairs a crystal structure of Cs3Pb2I5Cl2 with its theoretical powder diffractogram. Radiation: copper Kα. Structure: a PBE-relaxed structure.

Top 10 peaks for 2θ = 5–70°, by intensity:
2θ/deg, I/Imax
27.82, 100
20.28, 57
41.23, 52
11.81, 46
30.28, 44
39.75, 38
26.55, 38
5.90, 32
29.81, 31
34.67, 31

Structure:
Cell lengths 15.6587, 15.6587, 15.6587 Å; angles 156.37, 156.37, 33.67 degrees
Atoms (fractional coordinates):
Cs1 0.0000 0.0000 0.0000
Cs2 0.1854 0.1854 0.0000
Cs3 0.8146 0.8146 0.0000
Pb1 0.3898 0.3898 0.0000
Pb2 0.6102 0.6102 0.0000
I1 0.1039 0.6039 0.5000
I2 0.3961 0.8961 0.5000
I3 0.5000 0.5000 0.0000
I4 0.6039 0.1039 0.5000
I5 0.8961 0.3961 0.5000
Cl1 0.2973 0.2973 0.0000
Cl2 0.7027 0.7027 0.0000

No. 5
This entry pairs a crystal structure of CsPdICl6 with its theoretical powder diffractogram. Radiation: copper Kα. Structure: a PBE-relaxed structure.

Top 10 peaks for 2θ = 5–70°, by intensity:
2θ/deg, I/Imax
21.89, 100
19.06, 98
17.96, 89
33.79, 59
13.30, 53
22.00, 52
31.84, 51
25.41, 39
26.47, 29
26.78, 28

Structure:
Cell lengths 6.6931, 7.1127, 7.3386 Å; angles 109.34, 105.20, 91.63 degrees
Atoms (fractional coordinates):
Cs1 0.0000 0.0000 0.0000
Pd1 0.5779 0.5745 0.3458
I1 0.2725 0.4324 0.7382
Cl1 0.1031 0.5134 0.0118
Cl2 0.4363 0.3173 0.4368
Cl3 0.5331 0.8235 0.6224
Cl4 0.5842 0.3184 0.0449
Cl5 0.6857 0.8162 0.2360
Cl6 0.9457 0.5266 0.5261

No. 6
This entry pairs a crystal structure of Cs2PtI4Cl2 with its theoretical powder diffractogram. Radiation: copper Kα. Structure: a PBE-relaxed structure.

Top 10 peaks for 2θ = 5–70°, by intensity:
2θ/deg, I/Imax
26.95, 100
31.49, 87
13.38, 80
21.84, 64
44.53, 60
30.66, 43
15.19, 33
45.14, 31
55.56, 30
38.65, 29

Structure:
Cell lengths 8.1416, 8.1416, 8.1416 Å; angles 120.87, 120.87, 88.50 degrees
Atoms (fractional coordinates):
Cs1 0.2500 0.7500 0.5000
Cs2 0.7500 0.2500 0.5000
Pt1 0.0000 0.0000 0.0000
I1 0.2385 0.2385 0.4770
I2 0.2385 0.7615 0.0000
I3 0.7615 0.2385 0.0000
I4 0.7615 0.7615 0.5230
Cl1 0.2029 0.2029 0.0000
Cl2 0.7971 0.7971 0.0000

No. 7
This entry pairs a crystal structure of Cs4Pu3ICl12 with its theoretical powder diffractogram. Radiation: copper Kα. Structure: a PBE-relaxed structure.

Top 10 peaks for 2θ = 5–70°, by intensity:
2θ/deg, I/Imax
21.63, 100
37.93, 47
30.78, 45
44.08, 32
59.53, 28
49.62, 24
15.25, 16
68.52, 13
54.73, 11
34.52, 8

Structure:
Cell lengths 10.0636, 10.0636, 10.0636 Å; angles 109.47, 109.47, 109.47 degrees
Atoms (fractional coordinates):
Cs1 0.0000 0.0000 0.5000
Cs2 0.0000 0.5000 0.0000
Cs3 0.5000 0.0000 0.0000
Cs4 0.5000 0.5000 0.5000
Pu1 0.0000 0.5000 0.5000
Pu2 0.5000 0.0000 0.5000
Pu3 0.5000 0.5000 0.0000
I1 0.0000 0.0000 0.0000
Cl1 0.0000 0.2794 0.2794
Cl2 0.0000 0.7206 0.7206
Cl3 0.2500 0.5000 0.7500
Cl4 0.2500 0.7500 0.5000
Cl5 0.2794 0.0000 0.2794
Cl6 0.2794 0.2794 0.0000
Cl7 0.5000 0.2500 0.7500
Cl8 0.5000 0.7500 0.2500
Cl9 0.7206 0.0000 0.7206
Cl10 0.7206 0.7206 0.0000
Cl11 0.7500 0.2500 0.5000
Cl12 0.7500 0.5000 0.2500

No. 8
This entry pairs a crystal structure of Cs2RbICl4 with its theoretical powder diffractogram. Radiation: copper Kα. Structure: a PBE-relaxed structure.

Top 10 peaks for 2θ = 5–70°, by intensity:
2θ/deg, I/Imax
22.82, 100
24.52, 89
21.24, 82
36.26, 73
33.75, 69
22.20, 66
27.82, 55
45.30, 28
43.25, 26
38.58, 24

Structure:
Cell lengths 10.1000, 10.1000, 9.4059 Å; angles 113.86, 113.86, 100.98 degrees
Atoms (fractional coordinates):
Cs1 0.0000 0.0000 0.0000
Cs2 0.0000 0.0000 0.5000
Cs3 0.0000 0.5000 0.0000
Cs4 0.5000 0.0000 0.5000
Rb1 0.5000 0.5000 0.0000
Rb2 0.5000 0.5000 0.5000
I1 0.0000 0.5000 0.5000
I2 0.5000 0.0000 0.0000
Cl1 0.1886 0.6833 0.4679
Cl2 0.2250 0.2971 0.0103
Cl3 0.2971 0.2250 0.5103
Cl4 0.3167 0.8114 0.0321
Cl5 0.6833 0.1886 0.9679
Cl6 0.7029 0.7750 0.4897
Cl7 0.7750 0.7029 0.9897
Cl8 0.8114 0.3167 0.5321